For YFe12Ge6, DFT lattice parameters and positions (GGA-PBE) gives the simulated powder XRD pattern in this record (CuKα).

The 10 most intense peaks (10° ≤ 2θ ≤ 80°), sorted by position:
2theta, I/Imax
16.7, 32
33.7, 30
36.4, 48
36.8, 100
41.4, 35
43.9, 46
44.2, 44
44.9, 39
47.8, 72
54.4, 47

Crystal structure
```
data_YFe12Ge6
_cell_length_a 6.746
_cell_length_b 6.746
_cell_length_c 6.746
_cell_angle_alpha 104.12
_cell_angle_beta 104.12
_cell_angle_gamma 104.12
_space_group_name_H-M_alt 'P 1'
_space_group_IT_number 1
loop_
_space_group_symop_operation_xyz
'x,y,z'
loop_
_atom_site_label
_atom_site_type_symbol
_atom_site_fract_x
_atom_site_fract_y
_atom_site_fract_z
Y1 Y 0.000 0.000 0.000
Fe1 Fe 0.113 0.500 0.887
Fe2 Fe 0.113 0.887 0.500
Fe3 Fe 0.138 0.416 0.416
Fe4 Fe 0.416 0.138 0.416
Fe5 Fe 0.416 0.416 0.138
Fe6 Fe 0.500 0.113 0.887
Fe7 Fe 0.500 0.887 0.113
Fe8 Fe 0.584 0.584 0.862
Fe9 Fe 0.584 0.862 0.584
Fe10 Fe 0.862 0.584 0.584
Fe11 Fe 0.887 0.113 0.500
Fe12 Fe 0.887 0.500 0.113
Ge1 Ge 0.257 0.257 0.711
Ge2 Ge 0.257 0.711 0.257
Ge3 Ge 0.289 0.743 0.743
Ge4 Ge 0.711 0.257 0.257
Ge5 Ge 0.743 0.289 0.743
Ge6 Ge 0.743 0.743 0.289
```

=====

For YFe6Ge6, DFT lattice parameters and positions (GGA-PBE) gives the simulated powder XRD pattern in this record (CuKα).

The 10 most intense peaks (10° ≤ 2θ ≤ 80°), sorted by position:
2theta, I/Imax
35.1, 70
37.8, 12
40.7, 51
41.7, 100
44.5, 26
46.7, 74
49.2, 33
67.4, 15
74.0, 11
74.2, 21

Crystal structure
```
data_YFe6Ge6
_cell_length_a 9.740
_cell_length_b 9.740
_cell_length_c 5.121
_cell_angle_alpha 90.00
_cell_angle_beta 90.00
_cell_angle_gamma 130.56
_space_group_name_H-M_alt 'P 1'
_space_group_IT_number 1
loop_
_space_group_symop_operation_xyz
'x,y,z'
loop_
_atom_site_label
_atom_site_type_symbol
_atom_site_fract_x
_atom_site_fract_y
_atom_site_fract_z
Y1 Y 0.127 0.873 0.750
Y2 Y 0.873 0.127 0.250
Fe1 Fe 0.000 0.500 0.000
Fe2 Fe 0.000 0.500 0.500
Fe3 Fe 0.125 0.375 0.750
Fe4 Fe 0.249 0.249 0.000
Fe5 Fe 0.249 0.249 0.500
Fe6 Fe 0.375 0.125 0.250
Fe7 Fe 0.500 0.000 0.000
Fe8 Fe 0.500 0.000 0.500
Fe9 Fe 0.625 0.875 0.750
Fe10 Fe 0.751 0.751 0.000
Fe11 Fe 0.751 0.751 0.500
Fe12 Fe 0.875 0.625 0.250
Ge1 Ge 0.042 0.958 0.250
Ge2 Ge 0.211 0.789 0.250
Ge3 Ge 0.222 0.471 0.250
Ge4 Ge 0.296 0.704 0.750
Ge5 Ge 0.459 0.541 0.750
Ge6 Ge 0.471 0.222 0.750
Ge7 Ge 0.529 0.778 0.250
Ge8 Ge 0.541 0.459 0.250
Ge9 Ge 0.704 0.296 0.250
Ge10 Ge 0.778 0.529 0.750
Ge11 Ge 0.789 0.211 0.750
Ge12 Ge 0.958 0.042 0.750
```

=====

For YbFe6Ge6, DFT lattice parameters and positions (GGA-PBE) gives the simulated powder XRD pattern in this record (CuKα).

The 10 most intense peaks (10° ≤ 2θ ≤ 80°), sorted by position:
2theta, I/Imax
35.3, 72
39.1, 43
41.0, 51
41.9, 100
44.6, 24
46.9, 36
49.2, 22
65.9, 18
67.9, 23
74.6, 28

Crystal structure
```
data_YbFe6Ge6
_cell_length_a 5.087
_cell_length_b 5.087
_cell_length_c 8.120
_cell_angle_alpha 90.00
_cell_angle_beta 90.00
_cell_angle_gamma 120.00
_space_group_name_H-M_alt 'P 1'
_space_group_IT_number 1
loop_
_space_group_symop_operation_xyz
'x,y,z'
loop_
_atom_site_label
_atom_site_type_symbol
_atom_site_fract_x
_atom_site_fract_y
_atom_site_fract_z
Yb1 Yb 0.000 0.000 0.000
Fe1 Fe 0.000 0.500 0.251
Fe2 Fe 0.000 0.500 0.749
Fe3 Fe 0.500 0.000 0.251
Fe4 Fe 0.500 0.000 0.749
Fe5 Fe 0.500 0.500 0.251
Fe6 Fe 0.500 0.500 0.749
Ge1 Ge 0.000 0.000 0.346
Ge2 Ge 0.000 0.000 0.654
Ge3 Ge 0.333 0.667 0.000
Ge4 Ge 0.333 0.667 0.500
Ge5 Ge 0.667 0.333 0.000
Ge6 Ge 0.667 0.333 0.500
```

=====

For ZnFe4Ge, DFT lattice parameters and positions (GGA-PBE) gives the simulated powder XRD pattern in this record (CuKα).

The 10 most intense peaks (10° ≤ 2θ ≤ 80°), sorted by position:
2theta, I/Imax
43.4, 100
43.5, 99
43.9, 99
44.1, 97
44.2, 96
44.8, 92
62.8, 31
64.3, 29
64.8, 28
79.8, 15

Crystal structure
```
data_ZnFe4Ge
_cell_length_a 4.109
_cell_length_b 4.781
_cell_length_c 4.801
_cell_angle_alpha 64.71
_cell_angle_beta 65.85
_cell_angle_gamma 64.63
_space_group_name_H-M_alt 'P 1'
_space_group_IT_number 1
loop_
_space_group_symop_operation_xyz
'x,y,z'
loop_
_atom_site_label
_atom_site_type_symbol
_atom_site_fract_x
_atom_site_fract_y
_atom_site_fract_z
Zn1 Zn 0.000 0.000 0.000
Fe1 Fe 0.331 0.347 0.990
Fe2 Fe 0.335 0.845 0.485
Fe3 Fe 0.665 0.155 0.515
Fe4 Fe 0.669 0.653 0.010
Ge1 Ge 0.000 0.500 0.500
```

=====

For ZrFe4Ge2, DFT lattice parameters and positions (GGA-PBE) gives the simulated powder XRD pattern in this record (CuKα).

The 10 most intense peaks (10° ≤ 2θ ≤ 80°), sorted by position:
2theta, I/Imax
36.3, 35
36.7, 100
40.8, 40
43.2, 69
46.3, 52
47.2, 90
54.0, 23
63.4, 20
71.6, 19
73.9, 17

Crystal structure
```
data_ZrFe4Ge2
_cell_length_a 7.000
_cell_length_b 7.000
_cell_length_c 3.919
_cell_angle_alpha 90.00
_cell_angle_beta 90.00
_cell_angle_gamma 90.00
_space_group_name_H-M_alt 'P 1'
_space_group_IT_number 1
loop_
_space_group_symop_operation_xyz
'x,y,z'
loop_
_atom_site_label
_atom_site_type_symbol
_atom_site_fract_x
_atom_site_fract_y
_atom_site_fract_z
Zr1 Zr 0.000 0.000 0.000
Zr2 Zr 0.500 0.500 0.500
Fe1 Fe 0.099 0.360 0.500
Fe2 Fe 0.140 0.599 0.000
Fe3 Fe 0.360 0.099 0.500
Fe4 Fe 0.401 0.860 0.000
Fe5 Fe 0.599 0.140 0.000
Fe6 Fe 0.640 0.901 0.500
Fe7 Fe 0.860 0.401 0.000
Fe8 Fe 0.901 0.640 0.500
Ge1 Ge 0.212 0.788 0.500
Ge2 Ge 0.288 0.288 0.000
Ge3 Ge 0.712 0.712 0.000
Ge4 Ge 0.788 0.212 0.500
```

=====

For Fe3H, DFT lattice parameters and positions (GGA-PBE) gives the simulated powder XRD pattern in this record (CuKα).

The 10 most intense peaks (10° ≤ 2θ ≤ 80°), sorted by position:
2theta, I/Imax
38.9, 53
42.2, 54
42.6, 12
42.8, 100
49.7, 74
58.7, 29
67.8, 11
76.1, 12
77.6, 15
78.2, 8

Crystal structure
```
data_Fe3H
_cell_length_a 4.398
_cell_length_b 4.398
_cell_length_c 4.398
_cell_angle_alpha 147.72
_cell_angle_beta 68.20
_cell_angle_gamma 121.73
_space_group_name_H-M_alt 'P 1'
_space_group_IT_number 1
loop_
_space_group_symop_operation_xyz
'x,y,z'
loop_
_atom_site_label
_atom_site_type_symbol
_atom_site_fract_x
_atom_site_fract_y
_atom_site_fract_z
Fe1 Fe 0.000 0.000 0.000
Fe2 Fe 0.326 0.505 0.821
Fe3 Fe 0.684 0.505 0.179
H1 H 0.350 0.850 0.500
```

=====

For Fe2H3, DFT lattice parameters and positions (GGA-PBE) gives the simulated powder XRD pattern in this record (CuKα).

The 10 most intense peaks (10° ≤ 2θ ≤ 80°), sorted by position:
2theta, I/Imax
14.5, 100
29.2, 33
40.1, 28
42.6, 36
42.9, 37
43.0, 38
44.5, 24
50.0, 23
50.4, 21
50.7, 20

Crystal structure
```
data_Fe2H3
_cell_length_a 2.594
_cell_length_b 2.599
_cell_length_c 6.112
_cell_angle_alpha 90.41
_cell_angle_beta 90.55
_cell_angle_gamma 119.91
_space_group_name_H-M_alt 'P 1'
_space_group_IT_number 1
loop_
_space_group_symop_operation_xyz
'x,y,z'
loop_
_atom_site_label
_atom_site_type_symbol
_atom_site_fract_x
_atom_site_fract_y
_atom_site_fract_z
Fe1 Fe 0.159 0.326 0.324
Fe2 Fe 0.841 0.674 0.676
H1 H 0.181 0.345 0.823
H2 H 0.500 0.000 0.500
H3 H 0.819 0.655 0.177
```

=====

For HfThFe2H6, DFT lattice parameters and positions (GGA-PBE) gives the simulated powder XRD pattern in this record (CuKα).

The 10 most intense peaks (10° ≤ 2θ ≤ 80°), sorted by position:
2theta, I/Imax
25.8, 66
32.2, 100
33.2, 19
40.9, 63
49.0, 13
51.1, 17
53.0, 25
53.7, 32
62.3, 16
69.1, 22

Crystal structure
```
data_HfThFe2H6
_cell_length_a 5.969
_cell_length_b 5.969
_cell_length_c 5.969
_cell_angle_alpha 43.36
_cell_angle_beta 43.36
_cell_angle_gamma 43.36
_space_group_name_H-M_alt 'P 1'
_space_group_IT_number 1
loop_
_space_group_symop_operation_xyz
'x,y,z'
loop_
_atom_site_label
_atom_site_type_symbol
_atom_site_fract_x
_atom_site_fract_y
_atom_site_fract_z
Hf1 Hf 0.000 0.000 0.000
Th1 Th 0.500 0.500 0.500
Fe1 Fe 0.287 0.287 0.287
Fe2 Fe 0.713 0.713 0.713
H1 H 0.059 0.059 0.573
H2 H 0.059 0.573 0.059
H3 H 0.427 0.941 0.941
H4 H 0.573 0.059 0.059
H5 H 0.941 0.427 0.941
H6 H 0.941 0.941 0.427
```

=====

For FeHgH, DFT lattice parameters and positions (GGA-PBE) gives the simulated powder XRD pattern in this record (CuKα).

The 10 most intense peaks (10° ≤ 2θ ≤ 80°), sorted by position:
2theta, I/Imax
18.7, 36
34.9, 41
38.0, 23
39.9, 100
52.5, 26
62.5, 16
65.9, 9
69.9, 19
75.5, 18
76.8, 15

Crystal structure
```
data_FeHgH
_cell_length_a 2.971
_cell_length_b 2.971
_cell_length_c 4.740
_cell_angle_alpha 90.00
_cell_angle_beta 90.00
_cell_angle_gamma 120.00
_space_group_name_H-M_alt 'P 1'
_space_group_IT_number 1
loop_
_space_group_symop_operation_xyz
'x,y,z'
loop_
_atom_site_label
_atom_site_type_symbol
_atom_site_fract_x
_atom_site_fract_y
_atom_site_fract_z
Fe1 Fe 0.000 0.000 0.000
Hg1 Hg 0.333 0.667 0.500
H1 H 0.667 0.333 0.000
```

=====

For FeHgPH, DFT lattice parameters and positions (GGA-PBE) gives the simulated powder XRD pattern in this record (CuKα).

The 10 most intense peaks (10° ≤ 2θ ≤ 80°), sorted by position:
2theta, I/Imax
14.2, 62
28.7, 35
33.6, 64
36.7, 100
44.8, 72
56.2, 26
60.1, 23
67.9, 19
70.0, 18
77.2, 17

Crystal structure
```
data_FeHgPH
_cell_length_a 3.080
_cell_length_b 3.080
_cell_length_c 6.222
_cell_angle_alpha 90.00
_cell_angle_beta 90.00
_cell_angle_gamma 120.00
_space_group_name_H-M_alt 'P 1'
_space_group_IT_number 1
loop_
_space_group_symop_operation_xyz
'x,y,z'
loop_
_atom_site_label
_atom_site_type_symbol
_atom_site_fract_x
_atom_site_fract_y
_atom_site_fract_z
Fe1 Fe 0.000 0.000 0.000
Hg1 Hg 0.667 0.333 0.372
P1 P 0.667 0.333 0.788
H1 H 0.333 0.667 0.049
```

=====

For FeHgPH, DFT lattice parameters and positions (GGA-PBE) gives the simulated powder XRD pattern in this record (CuKα).

The 10 most intense peaks (10° ≤ 2θ ≤ 80°), sorted by position:
2theta, I/Imax
17.2, 38
24.3, 88
26.8, 32
32.3, 100
32.7, 22
34.7, 54
38.3, 42
48.1, 42
49.8, 33
55.2, 25

Crystal structure
```
data_FeHgPH
_cell_length_a 2.990
_cell_length_b 4.029
_cell_length_c 5.277
_cell_angle_alpha 100.63
_cell_angle_beta 90.79
_cell_angle_gamma 111.61
_space_group_name_H-M_alt 'P 1'
_space_group_IT_number 1
loop_
_space_group_symop_operation_xyz
'x,y,z'
loop_
_atom_site_label
_atom_site_type_symbol
_atom_site_fract_x
_atom_site_fract_y
_atom_site_fract_z
Fe1 Fe 0.000 0.000 0.000
Hg1 Hg 0.009 0.020 0.495
P1 P 0.705 0.411 0.026
H1 H 0.817 0.654 0.766
```

=====

For FeHgPH, DFT lattice parameters and positions (GGA-PBE) gives the simulated powder XRD pattern in this record (CuKα).

The 10 most intense peaks (10° ≤ 2θ ≤ 80°), sorted by position:
2theta, I/Imax
17.0, 39
23.7, 92
26.7, 38
33.1, 100
34.3, 58
36.4, 28
38.4, 49
46.8, 35
48.0, 39
50.0, 35

Crystal structure
```
data_FeHgPH
_cell_length_a 4.080
_cell_length_b 4.080
_cell_length_c 5.309
_cell_angle_alpha 99.31
_cell_angle_beta 99.31
_cell_angle_gamma 41.72
_space_group_name_H-M_alt 'P 1'
_space_group_IT_number 1
loop_
_space_group_symop_operation_xyz
'x,y,z'
loop_
_atom_site_label
_atom_site_type_symbol
_atom_site_fract_x
_atom_site_fract_y
_atom_site_fract_z
Fe1 Fe 0.000 0.000 0.000
Hg1 Hg 0.983 0.983 0.498
P1 P 0.716 0.716 0.032
H1 H 0.409 0.409 0.888
```

=====

For HoFeH6, DFT lattice parameters and positions (GGA-PBE) gives the simulated powder XRD pattern in this record (CuKα).

The 10 most intense peaks (10° ≤ 2θ ≤ 80°), sorted by position:
2theta, I/Imax
25.0, 30
29.0, 100
41.4, 38
41.6, 39
49.0, 17
51.3, 21
60.1, 12
67.9, 17
68.3, 17
75.6, 13

Crystal structure
```
data_HoFeH6
_cell_length_a 4.343
_cell_length_b 4.343
_cell_length_c 4.343
_cell_angle_alpha 60.34
_cell_angle_beta 60.34
_cell_angle_gamma 60.34
_space_group_name_H-M_alt 'P 1'
_space_group_IT_number 1
loop_
_space_group_symop_operation_xyz
'x,y,z'
loop_
_atom_site_label
_atom_site_type_symbol
_atom_site_fract_x
_atom_site_fract_y
_atom_site_fract_z
Ho1 Ho 0.000 0.000 0.000
Fe1 Fe 0.500 0.500 0.500
H1 H 0.070 0.603 0.603
H2 H 0.397 0.397 0.930
H3 H 0.397 0.930 0.397
H4 H 0.603 0.070 0.603
H5 H 0.603 0.603 0.070
H6 H 0.930 0.397 0.397
```